1.
Simulated XRD peak list of YbEu3O6 for Cu Kα (weighted mean of Kα1 and Kα2), from a cell relaxed with GGA-PBE.
Lines closer than 0.1° are merged.

Largest 10 diffraction maxima, by angle, 10 to 90 degrees two-theta:
2θ/deg, I (rel.)
20.0, 9.3
28.4, 100.0
32.9, 35.0
42.3, 8.1
47.2, 39.2
56.0, 32.6
58.7, 6.8
76.2, 9.2
78.6, 7.1
87.8, 6.2

Atomic structure:
Cell lengths 10.8892, 10.8892, 10.8892 Å; angles 90.00, 90.00, 90.00 degrees
Space group Ia-3 (No. 206)
One atom of each set of equivalent atoms:
Yb 0.2500 0.2500 0.2500 (multiplicity 8)
Eu 0.0000 0.2500 0.4677 (multiplicity 24)
O 0.1137 0.1537 0.6190 (multiplicity 48)


2.
Simulated XRD peak list of EuZr4O9 for Cu Kα (weighted mean of Kα1 and Kα2), from a cell relaxed with GGA-PBE.
Lines closer than 0.1° are merged.

Largest 10 diffraction maxima, by angle, 10 to 90 degrees two-theta:
2θ/deg, I (rel.)
29.0, 96.8
30.2, 100.0
34.2, 16.3
34.4, 33.3
47.8, 17.6
49.3, 62.0
51.1, 17.5
57.7, 24.5
58.1, 10.2
59.8, 26.9

Atomic structure:
Cell lengths 3.5778, 19.0138, 5.2412 Å; angles 90.00, 90.00, 90.00 degrees
Space group Imm2 (No. 44)
One atom of each set of equivalent atoms:
Eu 0.0000 0.0000 0.0000 (multiplicity 2)
Zr 0.0000 0.1961 0.9310 (multiplicity 4)
Zr 0.0000 0.3880 0.9341 (multiplicity 4)
O 0.0000 0.0988 0.6948 (multiplicity 4)
O 0.0000 0.1107 0.2007 (multiplicity 4)
O 0.0000 0.2964 0.6840 (multiplicity 4)
O 0.0000 0.2999 0.1866 (multiplicity 4)
O 0.0000 0.5000 0.8330 (multiplicity 2)


3.
Simulated XRD peak list of EuP7 for Cu Kα (weighted mean of Kα1 and Kα2), from a cell relaxed with GGA-PBE.
Lines closer than 0.1° are merged.

Largest 10 diffraction maxima, by angle, 10 to 90 degrees two-theta:
2θ/deg, I (rel.)
17.8, 67.4
18.5, 53.4
20.1, 52.4
22.4, 62.4
26.9, 90.0
28.1, 42.2
29.6, 65.1
31.0, 94.6
32.4, 100.0
35.8, 44.5

Atomic structure:
Cell lengths 10.6582, 5.7129, 13.3156 Å; angles 90.00, 124.08, 90.00 degrees
Space group P2_1/c (No. 14)
One atom of each set of equivalent atoms:
Eu 0.2472 0.1081 0.2840 (multiplicity 4)
P 0.0046 0.0420 0.5845 (multiplicity 4)
P 0.0383 0.2041 0.8615 (multiplicity 4)
P 0.2112 0.0542 0.0412 (multiplicity 4)
P 0.2164 0.7054 0.9696 (multiplicity 4)
P 0.3646 0.5964 0.2779 (multiplicity 4)
P 0.4161 0.5679 0.1390 (multiplicity 4)
P 0.4171 0.2203 0.0647 (multiplicity 4)


4.
Simulated XRD peak list of Eu3P4 for Cu Kα (weighted mean of Kα1 and Kα2), from a cell relaxed with GGA-PBE.
Lines closer than 0.1° are merged.

Largest 10 diffraction maxima, by angle, 10 to 90 degrees two-theta:
2θ/deg, I (rel.)
23.3, 99.4
25.5, 49.7
29.6, 100.0
34.3, 83.0
34.5, 82.2
39.5, 68.7
45.7, 46.4
51.3, 30.3
53.1, 27.7
61.8, 17.9

Atomic structure:
Cell lengths 13.9613, 16.8011, 5.6304 Å; angles 90.00, 90.00, 90.00 degrees
Space group Fdd2 (No. 43)
One atom of each set of equivalent atoms:
Eu 0.0000 0.0000 0.0000 (multiplicity 8)
Eu 0.0012 0.1669 0.5109 (multiplicity 16)
P 0.0844 0.0000 0.5026 (multiplicity 16)
P 0.0879 0.1705 0.0077 (multiplicity 16)


5.
Simulated XRD peak list of EuP12Ru4 for Cu Kα (weighted mean of Kα1 and Kα2), from a cell relaxed with GGA-PBE.
Lines closer than 0.1° are merged.

Largest 10 diffraction maxima, by angle, 10 to 90 degrees two-theta:
2θ/deg, I (rel.)
15.5, 18.4
22.0, 16.6
31.3, 100.0
35.1, 45.6
41.7, 33.4
44.8, 15.0
50.4, 25.8
55.6, 54.0
58.1, 23.6
74.1, 21.3

Atomic structure:
Cell lengths 8.0955, 8.0955, 8.0955 Å; angles 90.00, 90.00, 90.00 degrees
Space group Im-3 (No. 204)
One atom of each set of equivalent atoms:
Eu 0.0000 0.0000 0.0000 (multiplicity 2)
P 0.0000 0.3588 0.1434 (multiplicity 24)
Ru 0.2500 0.2500 0.2500 (multiplicity 8)


6.
Simulated XRD peak list of EuPaPt4 for Cu Kα (weighted mean of Kα1 and Kα2), from a cell relaxed with GGA-PBE.
Lines closer than 0.1° are merged.

Largest 10 diffraction maxima, by angle, 10 to 90 degrees two-theta:
2θ/deg, I (rel.)
19.9, 6.7
32.8, 26.1
38.6, 100.0
40.4, 40.9
47.0, 5.1
58.5, 10.2
62.4, 33.3
68.7, 29.0
81.7, 11.9
82.9, 16.0

Atomic structure:
Cell lengths 7.7285, 7.7285, 7.7285 Å; angles 90.00, 90.00, 90.00 degrees
Space group F-43m (No. 216)
One atom of each set of equivalent atoms:
Eu 0.0000 0.0000 0.0000 (multiplicity 4)
Pa 0.2500 0.2500 0.2500 (multiplicity 4)
Pt 0.1250 0.1250 0.6250 (multiplicity 16)


7.
Simulated XRD peak list of EuPaPt for Cu Kα (weighted mean of Kα1 and Kα2), from a cell relaxed with GGA-PBE.
Lines closer than 0.1° are merged.

Largest 10 diffraction maxima, by angle, 10 to 90 degrees two-theta:
2θ/deg, I (rel.)
32.3, 100.0
38.3, 67.0
50.9, 28.3
53.4, 24.0
65.5, 26.9
67.6, 12.0
69.2, 12.1
80.5, 15.0
82.0, 7.7
87.9, 7.0

Atomic structure:
Cell lengths 4.7019, 4.7019, 3.7825 Å; angles 90.00, 90.00, 120.00 degrees
Space group P3m1 (No. 156)
One atom of each set of equivalent atoms:
Eu 0.0000 0.0000 0.0000 (multiplicity 1)
Pa 0.3333 0.6667 0.3712 (multiplicity 1)
Pt 0.6667 0.3333 0.6089 (multiplicity 1)


8.
Simulated XRD peak list of EuPb3 for Cu Kα (weighted mean of Kα1 and Kα2), from a cell relaxed with GGA-PBE.
Lines closer than 0.1° are merged.

Largest 10 diffraction maxima, by angle, 10 to 90 degrees two-theta:
2θ/deg, I (rel.)
17.9, 1.2
25.4, 1.1
31.3, 100.0
36.3, 50.9
52.3, 36.5
62.2, 43.7
65.3, 12.6
77.0, 6.0
85.5, 19.1
88.3, 18.0

Atomic structure:
Cell lengths 4.9514, 4.9514, 4.9514 Å; angles 90.00, 90.00, 90.00 degrees
Space group Pm-3m (No. 221)
One atom of each set of equivalent atoms:
Eu 0.0000 0.0000 0.0000 (multiplicity 1)
Pb 0.0000 0.5000 0.5000 (multiplicity 3)


9.
Simulated XRD peak list of Eu6Pb for Cu Kα (weighted mean of Kα1 and Kα2), from a cell relaxed with GGA-PBE.
Lines closer than 0.1° are merged.

Largest 10 diffraction maxima, by angle, 10 to 90 degrees two-theta:
2θ/deg, I (rel.)
20.1, 40.6
24.7, 100.0
35.2, 26.4
38.1, 65.6
40.9, 32.6
46.0, 19.4
48.3, 16.7
57.1, 20.4
59.2, 21.9
65.1, 20.7

Atomic structure:
Cell lengths 8.8317, 8.8317, 8.8317 Å; angles 90.00, 90.00, 90.00 degrees
Space group Im-3m (No. 229)
One atom of each set of equivalent atoms:
Eu 0.0000 0.2500 0.5000 (multiplicity 12)
Pb 0.0000 0.0000 0.0000 (multiplicity 2)


10.
Simulated XRD peak list of Eu2SiPb for Cu Kα (weighted mean of Kα1 and Kα2), from a cell relaxed with GGA-PBE.
Lines closer than 0.1° are merged.

Largest 10 diffraction maxima, by angle, 10 to 90 degrees two-theta:
2θ/deg, I (rel.)
27.2, 33.7
30.0, 14.8
32.4, 100.0
36.1, 41.4
47.6, 16.9
52.0, 14.6
55.2, 16.0
57.8, 14.5
62.6, 30.4
81.5, 11.2

Atomic structure:
Cell lengths 3.5176, 3.5176, 8.9455 Å; angles 90.00, 90.00, 90.00 degrees
Space group P4/mmm (No. 123)
One atom of each set of equivalent atoms:
Eu 0.0000 0.0000 0.2163 (multiplicity 2)
Si 0.5000 0.5000 0.0000 (multiplicity 1)
Pb 0.5000 0.5000 0.5000 (multiplicity 1)


11.
Simulated XRD peak list of SrEu2Pb for Cu Kα (weighted mean of Kα1 and Kα2), from a cell relaxed with GGA-PBE.
Lines closer than 0.1° are merged.

Largest 10 diffraction maxima, by angle, 10 to 90 degrees two-theta:
2θ/deg, I (rel.)
28.4, 100.0
31.4, 50.4
32.7, 12.5
34.9, 31.6
45.0, 18.8
48.4, 9.8
54.1, 33.6
56.1, 9.6
58.2, 14.7
74.6, 8.6

Atomic structure:
Cell lengths 4.0248, 4.0248, 10.0323 Å; angles 90.00, 90.00, 90.00 degrees
Space group P4/mmm (No. 123)
One atom of each set of equivalent atoms:
Sr 0.0000 0.0000 0.0000 (multiplicity 1)
Eu 0.5000 0.5000 0.3066 (multiplicity 2)
Pb 0.0000 0.0000 0.5000 (multiplicity 1)


12.
Simulated XRD peak list of EuTl2Pb for Cu Kα (weighted mean of Kα1 and Kα2), from a cell relaxed with GGA-PBE.
Lines closer than 0.1° are merged.

Largest 10 diffraction maxima, by angle, 10 to 90 degrees two-theta:
2θ/deg, I (rel.)
31.6, 100.0
36.0, 17.8
37.0, 33.0
52.6, 24.4
53.3, 11.7
62.0, 15.0
63.3, 28.1
66.0, 12.5
86.1, 12.6
87.3, 6.1

Atomic structure:
Cell lengths 4.8612, 4.8612, 4.9908 Å; angles 90.00, 90.00, 90.00 degrees
Space group P4/mmm (No. 123)
One atom of each set of equivalent atoms:
Eu 0.0000 0.0000 0.0000 (multiplicity 1)
Tl 0.0000 0.5000 0.5000 (multiplicity 2)
Pb 0.5000 0.5000 0.0000 (multiplicity 1)


13.
Simulated XRD peak list of EuYPb2 for Cu Kα (weighted mean of Kα1 and Kα2), from a cell relaxed with GGA-PBE.
Lines closer than 0.1° are merged.

Largest 10 diffraction maxima, by angle, 10 to 90 degrees two-theta:
2θ/deg, I (rel.)
21.8, 8.6
31.1, 60.0
32.8, 100.0
44.5, 22.6
56.4, 43.4
59.7, 16.2
64.8, 7.5
68.9, 10.7
73.6, 10.4
74.6, 9.7

Atomic structure:
Cell lengths 4.0704, 4.0704, 7.3466 Å; angles 90.00, 90.00, 90.00 degrees
Space group P4/mmm (No. 123)
One atom of each set of equivalent atoms:
Eu 0.0000 0.0000 0.0000 (multiplicity 1)
Y 0.0000 0.0000 0.5000 (multiplicity 1)
Pb 0.5000 0.5000 0.2697 (multiplicity 2)